[1]
CeSm4In4: theoretical XRD peak list (Cu Kα), based on a DFT-relaxed cell (PBE, Alexandria).
Peak positions follow from Bragg's law for the DFT cell and can differ from measured ones.

Top 12 peaks for 10° ≤ 2θ ≤ 80°, in order of rising 2θ:
hkl 1 0 1, 14.63 deg, I 10; hkl 1 0 2, 20.37 deg, I 10; hkl 1 0 3, 27.47 deg, I 9; hkl 2 1 1, 28.59 deg, I 61; hkl 2 0 3, 34.88 deg, I 100; hkl 1 0 4, 35.22 deg, I 20; hkl 2 1 4, 43.34 deg, I 12; hkl 4 0 0, 50.06 deg, I 17; hkl 3 2 4, 56.74 deg, I 16; hkl 4 2 3, 62.48 deg, I 21; hkl 2 2 6, 62.66 deg, I 15; hkl 5 2 1, 70.06 deg, I 8

Structural model:
```
data_CeSm4In4
_chemical_formula_sum 'Ce2 Sm8 In8'
_space_group_name_H-M_alt 'P 42/n m c'
_space_group_IT_number 137
_cell_length_a 7.288
_cell_length_b 7.288
_cell_length_c 10.879
_cell_angle_alpha 90.00
_cell_angle_beta 90.00
_cell_angle_gamma 90.00
loop_
_space_group_symop_operation_xyz
'x,y,z'
'-x,-y,-z'
'-y+1/2,x,z+1/2'
'y+1/2,-x,-z+1/2'
'-x+1/2,-y+1/2,z'
'x+1/2,y+1/2,-z'
'y,-x+1/2,z+1/2'
'-y,x+1/2,-z+1/2'
'x+1/2,-y,-z'
'-x+1/2,y,z'
'-y,-x,-z+1/2'
'y,x,z+1/2'
'-x,y+1/2,-z'
'x,-y+1/2,z'
'y+1/2,x+1/2,-z+1/2'
'-y+1/2,-x+1/2,z+1/2'
loop_
_atom_site_label
_atom_site_fract_x
_atom_site_fract_y
_atom_site_fract_z
Ce1 0.250 0.750 0.250
Sm1 0.022 0.250 0.168
In1 0.030 0.250 0.466
```

=====

[2]
Li5Tl: theoretical XRD peak list (Cu Kα), based on a DFT-relaxed cell (PBE, Alexandria).
Peak positions follow from Bragg's law for the DFT cell and can differ from measured ones.

Top 12 peaks for 10° ≤ 2θ ≤ 80°, in order of rising 2θ:
hkl 0 2 0, 13.66 deg, I 100; hkl 0 0 1, 19.64 deg, I 44; hkl 1 1 0, 23.79 deg, I 57; hkl 0 2 1, 24.00 deg, I 55; hkl 0 4 0, 27.52 deg, I 19; hkl 1 3 0, 30.85 deg, I 30; hkl 1 1 1, 31.03 deg, I 58; hkl 0 4 1, 34.04 deg, I 23; hkl 1 3 1, 36.84 deg, I 50; hkl 0 6 0, 41.81 deg, I 22; hkl 1 5 1, 46.59 deg, I 29; hkl 2 4 1, 58.85 deg, I 19

Structural model:
```
data_Li5Tl
_chemical_formula_sum 'Li10 Tl2'
_space_group_name_H-M_alt 'C m m m'
_space_group_IT_number 65
_space_group_name_Hall '-C 2 2'
_cell_length_a 3.907
_cell_length_b 12.964
_cell_length_c 4.521
_cell_angle_alpha 90.00
_cell_angle_beta 90.00
_cell_angle_gamma 90.00
loop_
_atom_site_label
_atom_site_fract_x
_atom_site_fract_y
_atom_site_fract_z
Li1 0.000 0.000 0.000
Li2 0.000 0.166 0.500
Li3 0.000 0.339 0.000
Tl1 0.000 0.500 0.500
```

=====

[3]
CsUTeSe3: theoretical XRD peak list (Cu Kα), based on a DFT-relaxed cell (PBE, Alexandria).
Peak positions follow from Bragg's law for the DFT cell and can differ from measured ones.

Top 12 peaks for 10° ≤ 2θ ≤ 80°, in order of rising 2θ:
hkl 0 2 0, 11.09 deg, I 75; hkl 1 1 0, 12.69 deg, I 29; hkl 0 2 1, 15.60 deg, I 29; hkl 0 0 2, 21.96 deg, I 40; hkl 0 4 0, 22.29 deg, I 64; hkl 2 0 0, 22.93 deg, I 37; hkl 1 3 1, 23.06 deg, I 58; hkl 2 0 2, 31.95 deg, I 100; hkl 2 2 2, 33.92 deg, I 21; hkl 2 4 2, 39.31 deg, I 56; hkl 4 0 0, 46.86 deg, I 22; hkl 1 7 2, 47.25 deg, I 25

Structural model:
```
data_CsUTeSe3
_chemical_formula_sum 'Cs4 U4 Te4 Se12'
_space_group_name_H-M_alt 'C m c m'
_space_group_IT_number 63
_space_group_name_Hall '-C 2c 2'
_cell_length_a 7.758
_cell_length_b 15.953
_cell_length_c 8.097
_cell_angle_alpha 90.00
_cell_angle_beta 90.00
_cell_angle_gamma 90.00
loop_
_atom_site_label
_atom_site_fract_x
_atom_site_fract_y
_atom_site_fract_z
Cs1 0.000 0.243 0.250
U1 0.000 0.055 0.750
Te1 0.000 0.500 0.250
Se1 0.000 0.219 0.750
Se2 0.228 0.000 0.000
```